(1)
Starting from a structure optimized by DFT (GGA-PBE), the powder X-ray diffraction pattern of YTi3Se2ClO8 was calculated for Cu Ka.

Principal peaks in the range 10 to 90 degrees two-theta, in order of rising 2θ:
| two_theta | I/Imax | (hkl) |
| --- | --- | --- |
| 12.99 | 95 | 1 0 0 |
| 19.27 | 43 | 1 -1 0 |
| 20.51 | 47 | 1 0 2 |
| 22.43 | 48 | 1 1 2 |
| 25.99 | 33 | 0 2 1 |
| 26.69 | 50 | 1 2 0 |
| 27.79 | 49 | 2 1 1 |
| 29.45 | 100 | 0 1 -3 |
| 29.93 | 47 | 1 0 -3 |
| 39.43 | 35 | -1 2 3 |

Crystal structure
```
data_YTi3Se2ClO8
_chemical_formula_sum 'Y2 Ti6 Se4 Cl2 O16'
_cell_length_a 6.9156
_cell_length_b 7.1859
_cell_length_c 10.4889
_cell_angle_alpha 85.24
_cell_angle_beta 84.30
_cell_angle_gamma 81.65
_space_group_name_H-M_alt 'P 1'
_space_group_IT_number 1
_space_group_name_Hall 'P 1'
loop_
_atom_site_label
_atom_site_fract_x
_atom_site_fract_y
_atom_site_fract_z
_atom_site_occupancy
Y1 0.0000 0.0000 0.0000 1
Y2 0.4896 0.5025 0.5031 1
Ti1 0.0525 0.6112 0.5884 1
Ti2 0.4528 0.0373 0.0505 1
Ti3 0.6804 0.2801 0.2266 1
Ti4 0.7053 0.7666 0.8193 1
Ti5 0.7198 0.3359 0.7742 1
Ti6 0.7476 0.7725 0.2681 1
Se1 0.3479 0.0857 0.7133 1
Se2 0.3736 0.3912 0.1004 1
Se3 0.3772 0.0527 0.4259 1
Se4 0.3894 0.5399 0.8862 1
Cl1 0.8476 0.4966 0.9436 1
Cl2 0.9616 0.8525 0.4222 1
O1 0.1824 0.4417 0.4842 1
O2 0.2686 0.9099 0.1077 1
O3 0.2759 0.6505 0.6428 1
O4 0.3041 0.0880 0.8846 1
O5 0.5110 0.8217 0.4138 1
O6 0.5163 0.2528 0.6777 1
O7 0.5202 0.8879 0.7036 1
O8 0.5710 0.2060 0.4030 1
O9 0.6102 0.0124 0.1926 1
O10 0.6812 0.9350 0.9432 1
O11 0.6844 0.5224 0.2976 1
O12 0.7836 0.5044 0.6428 1
O13 0.9084 0.2039 0.1507 1
O14 0.9134 0.1641 0.8057 1
O15 0.9174 0.7599 0.1371 1
O16 0.9274 0.7884 0.7345 1
```

***

(2)
Starting from a structure optimized by DFT (GGA-PBE), the powder X-ray diffraction pattern of MgHg2Sb4O12 was calculated for Cu Ka.

Principal peaks in the range 10 to 90 degrees two-theta, in order of rising 2θ:
| two_theta | I/Imax | (hkl) |
| --- | --- | --- |
| 24.26 | 100 | 1 1 0 |
| 32.15 | 81 | 1 0 3 |
| 34.58 | 29 | 2 0 0 |
| 47.93 | 67 | 2 1 3 |
| 49.71 | 20 | 2 2 0 |
| 56.06 | 17 | 1 3 0 |
| 60.44 | 20 | 3 0 3 |
| 61.63 | 16 | 1 1 6 |
| 71.53 | 16 | 3 2 3 |
| 81.95 | 13 | 1 4 3 |

Crystal structure
```
data_MgHg2Sb4O12
_chemical_formula_sum 'Mg1 Hg2 Sb4 O12'
_cell_length_a 5.1880
_cell_length_b 5.1880
_cell_length_c 9.8993
_cell_angle_alpha 90.00
_cell_angle_beta 90.00
_cell_angle_gamma 90.00
_space_group_name_H-M_alt 'P -4'
_space_group_IT_number 81
_space_group_name_Hall 'P -4'
loop_
_atom_site_label
_atom_site_fract_x
_atom_site_fract_y
_atom_site_fract_z
_atom_site_occupancy
Mg1 0.0000 0.0000 0.0000 1
Hg1 0.0000 0.5000 0.7497 1
Sb1 0.0000 0.5000 0.1041 1
Sb2 0.0000 0.5000 0.4297 1
O1 0.1669 0.6807 0.2614 1
O2 0.2110 0.7099 0.5645 1
O3 0.2127 0.7218 0.9363 1
```

***

(3)
Starting from a structure optimized by DFT (GGA-PBE), the powder X-ray diffraction pattern of Cs2TlRuF6 was calculated for Cu Ka.

Principal peaks in the range 10 to 90 degrees two-theta, in order of rising 2θ:
| two_theta | I/Imax | (hkl) |
| --- | --- | --- |
| 26.67 | 100 | 2 2 0 |
| 31.39 | 5 | 3 1 1 |
| 38.08 | 31 | 4 0 0 |
| 41.65 | 4 | 3 3 1 |
| 47.10 | 41 | 4 2 2 |
| 54.95 | 20 | 4 4 0 |
| 62.10 | 21 | 6 2 0 |
| 68.81 | 6 | 4 4 4 |
| 75.23 | 23 | 6 4 2 |
| 87.58 | 11 | 6 6 0 |

Crystal structure
```
data_Cs2TlRuF6
_chemical_formula_sum 'Cs8 Tl4 Ru4 F24'
_cell_length_a 9.4524
_cell_length_b 9.4524
_cell_length_c 9.4524
_cell_angle_alpha 90.00
_cell_angle_beta 90.00
_cell_angle_gamma 90.00
_space_group_name_H-M_alt 'F m -3 m'
_space_group_IT_number 225
_space_group_name_Hall '-F 4 2 3'
loop_
_atom_site_label
_atom_site_fract_x
_atom_site_fract_y
_atom_site_fract_z
_atom_site_occupancy
Cs1 0.2500 0.2500 0.2500 1
Tl1 0.0000 0.0000 0.0000 1
Ru1 0.0000 0.0000 0.5000 1
F1 0.0000 0.0000 0.2845 1
```

***

(4)
Starting from a structure optimized by DFT (GGA-PBE), the powder X-ray diffraction pattern of Ce3Ga2 was calculated for Cu Ka.

Principal peaks in the range 10 to 90 degrees two-theta, in order of rising 2θ:
| two_theta | I/Imax | (hkl) |
| --- | --- | --- |
| 29.04 | 19 | 1 1 2 |
| 30.11 | 29 | 2 2 0 |
| 32.80 | 74 | 2 0 2 |
| 33.77 | 75 | 3 1 0 |
| 34.54 | 100 | 2 1 2 |
| 44.50 | 17 | 4 1 0 |
| 51.59 | 18 | 4 1 2 |
| 52.82 | 21 | 3 3 2 |
| 62.00 | 18 | 5 1 2 |
| 62.39 | 19 | 3 1 4 |

Crystal structure
```
data_Ce3Ga2
_chemical_formula_sum 'Ce12 Ga8'
_cell_length_a 8.3940
_cell_length_b 8.3940
_cell_length_c 7.1907
_cell_angle_alpha 90.00
_cell_angle_beta 90.00
_cell_angle_gamma 90.00
_space_group_name_H-M_alt 'P 42/m n m'
_space_group_IT_number 136
_space_group_name_Hall '-P 4n 2n'
loop_
_atom_site_label
_atom_site_fract_x
_atom_site_fract_y
_atom_site_fract_z
_atom_site_occupancy
Ce1 0.0000 0.5000 0.2500 1
Ce2 0.1570 0.1570 0.0000 1
Ce3 0.1959 0.1959 0.5000 1
Ga1 0.1200 0.8800 0.2980 1
```

***

(5)
Starting from a structure optimized by DFT (GGA-PBE), the powder X-ray diffraction pattern of Cu2AgS2O10 was calculated for Cu Ka.

Principal peaks in the range 10 to 90 degrees two-theta, in order of rising 2θ:
| two_theta | I/Imax | (hkl) |
| --- | --- | --- |
| 18.83 | 77 | 1 1 -1 |
| 19.79 | 78 | 2 0 -1 |
| 23.68 | 32 | 2 0 -2 |
| 25.17 | 31 | 0 0 2 |
| 26.07 | 100 | 1 1 -2 |
| 31.92 | 65 | 2 0 1 |
| 32.18 | 88 | 0 2 1 |
| 33.92 | 49 | 3 1 -1 |
| 38.19 | 51 | 2 2 -2 |
| 52.60 | 39 | 4 2 -3 |

Crystal structure
```
data_Cu2AgS2O10
_chemical_formula_sum 'Cu4 Ag2 S4 O20'
_cell_length_a 8.9742
_cell_length_b 6.0509
_cell_length_c 8.3068
_cell_angle_alpha 90.00
_cell_angle_beta 121.59
_cell_angle_gamma 90.00
_space_group_name_H-M_alt 'C 1 2/m 1'
_space_group_IT_number 12
_space_group_name_Hall '-C 2y'
loop_
_atom_site_label
_atom_site_fract_x
_atom_site_fract_y
_atom_site_fract_z
_atom_site_occupancy
Cu1 0.2500 0.2500 0.0000 1
Ag1 0.0000 0.0000 0.5000 1
S1 0.0806 0.5000 0.2925 1
O1 0.0349 0.2934 0.7604 1
O2 0.1664 0.0000 0.0419 1
O3 0.1755 0.5000 0.1915 1
O4 0.1971 0.5000 0.4971 1
```

***

Please write out number 4 again, unchanged.
Starting from a structure optimized by DFT (GGA-PBE), the powder X-ray diffraction pattern of Ce3Ga2 was calculated for Cu Ka.

Principal peaks in the range 10 to 90 degrees two-theta, in order of rising 2θ:
| two_theta | I/Imax | (hkl) |
| --- | --- | --- |
| 29.04 | 19 | 1 1 2 |
| 30.11 | 29 | 2 2 0 |
| 32.80 | 74 | 2 0 2 |
| 33.77 | 75 | 3 1 0 |
| 34.54 | 100 | 2 1 2 |
| 44.50 | 17 | 4 1 0 |
| 51.59 | 18 | 4 1 2 |
| 52.82 | 21 | 3 3 2 |
| 62.00 | 18 | 5 1 2 |
| 62.39 | 19 | 3 1 4 |

Crystal structure
```
data_Ce3Ga2
_chemical_formula_sum 'Ce12 Ga8'
_cell_length_a 8.3940
_cell_length_b 8.3940
_cell_length_c 7.1907
_cell_angle_alpha 90.00
_cell_angle_beta 90.00
_cell_angle_gamma 90.00
_space_group_name_H-M_alt 'P 42/m n m'
_space_group_IT_number 136
_space_group_name_Hall '-P 4n 2n'
loop_
_atom_site_label
_atom_site_fract_x
_atom_site_fract_y
_atom_site_fract_z
_atom_site_occupancy
Ce1 0.0000 0.5000 0.2500 1
Ce2 0.1570 0.1570 0.0000 1
Ce3 0.1959 0.1959 0.5000 1
Ga1 0.1200 0.8800 0.2980 1
```

***

Please write out number 3 again, unchanged.
Starting from a structure optimized by DFT (GGA-PBE), the powder X-ray diffraction pattern of Cs2TlRuF6 was calculated for Cu Ka.

Principal peaks in the range 10 to 90 degrees two-theta, in order of rising 2θ:
| two_theta | I/Imax | (hkl) |
| --- | --- | --- |
| 26.67 | 100 | 2 2 0 |
| 31.39 | 5 | 3 1 1 |
| 38.08 | 31 | 4 0 0 |
| 41.65 | 4 | 3 3 1 |
| 47.10 | 41 | 4 2 2 |
| 54.95 | 20 | 4 4 0 |
| 62.10 | 21 | 6 2 0 |
| 68.81 | 6 | 4 4 4 |
| 75.23 | 23 | 6 4 2 |
| 87.58 | 11 | 6 6 0 |

Crystal structure
```
data_Cs2TlRuF6
_chemical_formula_sum 'Cs8 Tl4 Ru4 F24'
_cell_length_a 9.4524
_cell_length_b 9.4524
_cell_length_c 9.4524
_cell_angle_alpha 90.00
_cell_angle_beta 90.00
_cell_angle_gamma 90.00
_space_group_name_H-M_alt 'F m -3 m'
_space_group_IT_number 225
_space_group_name_Hall '-F 4 2 3'
loop_
_atom_site_label
_atom_site_fract_x
_atom_site_fract_y
_atom_site_fract_z
_atom_site_occupancy
Cs1 0.2500 0.2500 0.2500 1
Tl1 0.0000 0.0000 0.0000 1
Ru1 0.0000 0.0000 0.5000 1
F1 0.0000 0.0000 0.2845 1
```